Structure and calculated powder diffraction line list of Rb2Co2O3 (a DFT-relaxed cell (GGA+U, the Materials Project); a wavelength of 1.5418 Å).
Kinematic intensities with the Lorentz-polarization factor, no thermal factor.

Structural model:
```
28
Lattice="12.0381 0.0000 0.0000 0.0000 6.1818 0.0000 0.0000 0.0000 7.9174" Properties=species:S:1:pos:R:3 pbc="T T T"
Rb 0.6990 1.5455 0.9854
Rb 1.4516 4.6364 3.9160
Rb 4.5675 1.5455 7.8747
Rb 5.3200 4.6364 4.9441
Rb 6.7181 1.5455 2.9733
Rb 7.4707 4.6364 0.0427
Rb 10.5866 1.5455 4.0014
Rb 11.3391 4.6364 6.9320
Co 1.8256 1.5455 5.7391
Co 2.8291 4.6364 7.2070
Co 3.1900 1.5455 3.2483
Co 4.1934 4.6364 1.7804
Co 7.8447 1.5455 6.1370
Co 8.8482 4.6364 4.6691
Co 9.2090 1.5455 0.7104
Co 10.2125 4.6364 2.1783
O 1.4500 1.5455 3.8381
O 1.8108 3.1393 6.6483
O 1.8108 6.1335 6.6483
O 4.2083 0.0483 2.6896
O 4.2083 3.0426 2.6896
O 4.5691 4.6364 7.7968
O 7.4691 1.5455 0.1206
O 7.8299 3.1393 5.2278
O 7.8299 6.1335 5.2278
O 10.2273 0.0483 1.2691
O 10.2273 3.0426 1.2691
O 10.5881 4.6364 4.0793
```

Principal peaks in the range 2θ from 5° to 70°, low angle first:
2θ 24.88, d = 3.579 Å, I 8.6; 2θ 27.77, d = 3.213 Å, I 25.3; 2θ 28.85, d = 3.095 Å, I 100.0; 2θ 30.66, d = 2.916 Å, I 32.6; 2θ 31.78, d = 2.815 Å, I 27.4; 2θ 34.80, d = 2.578 Å, I 12.5; 2θ 35.05, d = 2.560 Å, I 10.0; 2θ 37.04, d = 2.427 Å, I 17.7; 2θ 38.48, d = 2.339 Å, I 11.6; 2θ 43.47, d = 2.082 Å, I 20.4; 2θ 51.15, d = 1.786 Å, I 11.0; 2θ 55.61, d = 1.653 Å, I 8.6